(1)
Computed PXRD pattern of Pr2InGe2 for copper Kα, from a structure optimized by DFT (GGA-PBE).
Neutral-atom scattering factors, no anomalous dispersion.

Most intense lines, 10° ≤ 2θ ≤ 90°, sorted by position:
2θ = 26.1°, intensity 15
2θ = 31.0°, intensity 56
2θ = 33.2°, intensity 100
2θ = 37.3°, intensity 32
2θ = 41.0°, intensity 21
2θ = 49.3°, intensity 14
2θ = 53.8°, intensity 23
2θ = 56.6°, intensity 19
2θ = 66.0°, intensity 22
2θ = 69.8°, intensity 19

Cell and atoms:
Cell: 7.6212 7.6212 4.4045 Å, 90.00 90.00 90.00°
Space group P4/mbm (No. 127)
One atom of each set of equivalent atoms:
Pr1 0.1801 0.3199 0.0000 x4
In1 0.0000 0.0000 0.5000 x2
Ge1 0.1185 0.6185 0.5000 x4



(2)
Computed PXRD pattern of Dy3AlCoS7 for copper Kα, from a structure optimized by DFT (GGA-PBE).
Neutral-atom scattering factors, no anomalous dispersion.

Most intense lines, 10° ≤ 2θ ≤ 90°, sorted by position:
2θ = 18.0°, intensity 45
2θ = 23.6°, intensity 23
2θ = 26.0°, intensity 100
2θ = 28.5°, intensity 32
2θ = 35.7°, intensity 30
2θ = 36.4°, intensity 33
2θ = 37.7°, intensity 32
2θ = 41.1°, intensity 36
2θ = 42.0°, intensity 29
2θ = 49.6°, intensity 36

Cell and atoms:
Cell: 9.5528 9.5528 6.1568 Å, 90.00 90.00 120.00°
Space group P6_3 (No. 173)
One atom of each set of equivalent atoms:
Dy1 0.1483 0.7748 0.0000 x6
Al1 0.3333 0.6667 0.5741 x2
Co1 0.0000 0.0000 0.1535 x2
S1 0.0899 0.5164 0.7302 x6
S2 0.0926 0.8697 0.4012 x6
S3 0.3333 0.6667 0.2115 x2